# NdAl2Si2
Calculated PXRD pattern, Cu Kα X-rays. Input: the GGA-PBE geometry in the Materials Project.
No peak broadening, texture or thermal motion is included.

Most intense lines, 2θ = 10–90°, by angle:
| two_theta | d [Å] | I (rel.) | h k l |
| --- | --- | --- | --- |
| 13.00 | 6.810 | 347 | 0 0 1 |
| 24.26 | 3.669 | 187 | 1 0 0 |
| 27.62 | 3.230 | 1000 | 0 1 1 |
| 35.99 | 2.496 | 590 | 0 1 2 |
| 42.69 | 2.118 | 362 | 1 1 0 |
| 44.81 | 2.022 | 106 | 1 1 1 |
| 47.08 | 1.930 | 144 | 1 0 3 |
| 51.60 | 1.771 | 176 | 2 0 1 |
| 57.03 | 1.615 | 154 | 2 0 2 |
| 59.71 | 1.549 | 183 | 1 1 3 |
| 69.14 | 1.359 | 146 | 1 2 1 |
| 73.78 | 1.284 | 144 | 1 2 2 |

Structural model:
```
data_NdAl2Si2
_chemical_formula_sum 'Nd1 Al2 Si2'
_cell_length_a 4.2361
_cell_length_b 4.2361
_cell_length_c 6.8098
_cell_angle_alpha 90.00
_cell_angle_beta 90.00
_cell_angle_gamma 120.00
_space_group_name_H-M_alt 'P -3 m 1'
_space_group_IT_number 164
_space_group_name_Hall '-P 3 2"'
loop_
_atom_site_label
_atom_site_type_symbol
_atom_site_fract_x
_atom_site_fract_y
_atom_site_fract_z
Nd1 Nd 0.0000 0.0000 0.0000
Al1 Al 0.3333 0.6667 0.6402
Si1 Si 0.3333 0.6667 0.2682
```